# 1
This entry pairs a crystal structure of AcHoTmAg with its simulated powder diffraction line list. Radiation: Cu Kα. Structure: the GGA-PBE geometry in Alexandria.
Lines closer than 0.1° are merged.

The 10 most intense peaks (15 to 90 degrees two-theta), sorted by position:
two_theta  I (rel.)
19.7  6
32.4  100
38.2  3
46.5  18
50.9  2
57.8  39
67.8  12
71.4  1
77.2  17
86.2  4

Structure:
```
AcHoTmAg
1.0
0.0000 3.9094 3.9094
3.9094 0.0000 3.9094
3.9094 3.9094 0.0000
Ac Ho Tm Ag
1 1 1 1
Cartesian
0.0000 0.0000 0.0000
1.9547 1.9547 1.9547
5.8641 5.8641 5.8641
3.9094 3.9094 3.9094
```

# 2
This entry pairs a crystal structure of AcIn2Ag5 with its simulated powder diffraction line list. Radiation: Cu Kα. Structure: the GGA-PBE geometry in Alexandria.
Lines closer than 0.1° are merged.

The 10 most intense peaks (15 to 90 degrees two-theta), sorted by position:
two_theta  I (rel.)
28.4  50
31.4  75
32.1  100
36.0  19
39.6  71
40.9  24
41.5  41
44.0  17
45.2  25
58.7  43

Structure:
```
AcIn2Ag5
1.0
-2.1765 3.8418 5.6485
2.1765 -3.8418 5.6485
2.1765 3.8418 -5.6485
Ac In Ag
1 2 5
Cartesian
0.0000 0.0000 0.0000
2.1765 0.0000 2.8282
0.0000 3.8418 2.8203
2.1765 2.4049 -1.4342
2.1765 2.4049 1.4342
0.0000 3.8418 0.0000
0.0000 1.4369 4.2142
0.0000 1.4369 7.0827
```

# 3
This entry pairs a crystal structure of Ac4InAg2 with its simulated powder diffraction line list. Radiation: Cu Kα. Structure: the GGA-PBE geometry in Alexandria.
Lines closer than 0.1° are merged.

The 10 most intense peaks (15 to 90 degrees two-theta), sorted by position:
two_theta  I (rel.)
22.4  44
31.7  100
32.1  93
45.8  35
56.5  20
56.7  37
57.6  16
66.2  12
75.5  16
76.3  14

Structure:
```
Ac4InAg2
1.0
2.8227 1.6297 9.0341
-2.8227 1.6297 9.0341
0.0000 -3.2594 9.0341
Ac In Ag
4 1 2
Cartesian
0.0000 0.0000 3.2371
0.0000 0.0000 10.0852
0.0000 0.0000 17.0171
0.0000 0.0000 23.8652
0.0000 0.0000 13.5512
0.0000 0.0000 6.7119
0.0000 0.0000 20.3904
```

# 4
This entry pairs a crystal structure of AcIn3Ag8 with its simulated powder diffraction line list. Radiation: Cu Kα. Structure: the GGA-PBE geometry in Alexandria.
Lines closer than 0.1° are merged.

The 10 most intense peaks (15 to 90 degrees two-theta), sorted by position:
two_theta  I (rel.)
31.7  36
33.8  82
37.1  100
38.0  100
41.5  15
57.8  32
60.0  24
61.9  30
66.2  27
78.9  20

Structure:
```
AcIn3Ag8
1.0
5.6478 0.0000 0.0000
-2.8239 4.8911 0.0000
0.0000 0.0000 9.4845
Ac In Ag
1 3 8
Cartesian
0.0000 0.0000 0.0000
0.0000 0.0000 3.6066
2.8239 1.6304 4.6663
2.8239 1.6304 8.0341
0.0000 1.6107 6.4402
-1.4290 4.0858 6.4402
0.0000 3.2607 4.1206
0.0000 3.2607 8.8167
2.8239 0.0209 1.8202
1.4301 2.4351 1.8202
1.4290 4.0858 6.4402
4.2177 2.4351 1.8202
```

# 5
This entry pairs a crystal structure of AcIn7Ag5 with its simulated powder diffraction line list. Radiation: Cu Kα. Structure: the GGA-PBE geometry in Alexandria.
Lines closer than 0.1° are merged.

The 10 most intense peaks (15 to 90 degrees two-theta), sorted by position:
two_theta  I (rel.)
30.2  22
30.4  35
30.9  26
35.1  44
35.3  42
35.5  100
35.7  50
36.0  35
39.6  56
40.3  20

Structure:
```
AcIn7Ag5
1.0
-2.9593 5.0734 4.9836
2.9593 -5.0734 4.9836
2.9593 5.0734 -4.9836
Ac In Ag
1 7 5
Cartesian
0.0000 0.0000 0.0000
2.9593 2.0530 -0.0798
2.9593 0.0000 2.2385
0.0000 0.0000 3.5062
0.0000 3.5310 0.0617
0.0000 0.0000 6.4951
0.0000 6.6157 0.0617
0.0000 3.0204 4.9038
1.4880 2.5506 2.4615
4.4306 2.5506 2.4615
0.0000 5.0734 2.7571
-1.4713 2.5228 7.4451
1.4713 2.5228 7.4451
```

# 6
This entry pairs a crystal structure of Ac2InAg3 with its simulated powder diffraction line list. Radiation: Cu Kα. Structure: the GGA-PBE geometry in Alexandria.
Lines closer than 0.1° are merged.

The 10 most intense peaks (15 to 90 degrees two-theta), sorted by position:
two_theta  I (rel.)
25.6  17
30.2  100
31.9  33
32.7  24
39.3  21
40.6  15
41.3  19
41.9  18
53.6  15
59.8  18

Structure:
```
Ac2InAg3
1.0
-2.1562 2.2908 8.8823
2.1562 -2.2908 8.8823
2.1562 2.2908 -8.8823
Ac In Ag
2 1 3
Cartesian
0.0000 0.0000 0.0000
0.0000 2.2908 4.6520
0.0000 0.0000 10.5344
2.1562 0.0000 3.1690
2.1562 0.0000 5.9506
0.0000 0.0000 7.6615
```

# 7
This entry pairs a crystal structure of Ac6InAg3 with its simulated powder diffraction line list. Radiation: Cu Kα. Structure: the GGA-PBE geometry in Alexandria.
Lines closer than 0.1° are merged.

The 10 most intense peaks (15 to 90 degrees two-theta), sorted by position:
two_theta  I (rel.)
25.2  62
27.1  100
27.4  54
28.3  31
30.2  58
30.8  66
31.3  38
33.1  25
35.1  77
49.0  24

Structure:
```
Ac6InAg3
1.0
10.9409 0.0000 0.0000
0.0000 5.1108 0.0000
-4.5424 0.0000 12.6969
Ac In Ag
12 2 6
Cartesian
-0.3415 1.2777 1.4950
-1.7589 1.2777 9.2913
-0.3401 3.8331 6.7602
2.8593 3.8331 1.6510
2.4097 1.2777 4.8468
0.5744 3.8331 11.0286
5.8241 1.2777 1.6683
3.9888 3.8331 7.8501
3.5393 1.2777 11.0459
6.7387 1.2777 5.9366
8.1574 3.8331 3.4056
6.7400 3.8331 11.2019
1.4993 1.2777 8.3220
4.8993 3.8331 4.3749
-1.0248 1.2777 4.6858
0.4197 3.8331 3.6550
-1.7234 1.2777 12.4188
8.1220 3.8331 0.2781
5.9789 1.2777 9.0419
7.4233 3.8331 8.0111
```

# 8
This entry pairs a crystal structure of AcMgIn4Ag2 with its simulated powder diffraction line list. Radiation: Cu Kα. Structure: the GGA-PBE geometry in Alexandria.
Lines closer than 0.1° are merged.

The 10 most intense peaks (15 to 90 degrees two-theta), sorted by position:
two_theta  I (rel.)
21.2  15
26.0  33
30.0  19
32.3  93
36.8  100
45.6  14
49.8  27
63.5  26
66.3  17
78.3  13

Structure:
```
AcMgIn4Ag2
1.0
2.4434 1.4107 9.7737
-2.4434 1.4107 9.7737
0.0000 -2.8214 9.7737
Ac Mg In Ag
1 1 4 2
Cartesian
0.0000 0.0000 0.0000
0.0000 0.0000 14.6605
0.0000 0.0000 3.7079
0.0000 0.0000 11.6634
0.0000 0.0000 17.6576
0.0000 0.0000 25.6131
0.0000 0.0000 7.0032
0.0000 0.0000 22.3179
```

# 9
This entry pairs a crystal structure of Ac4InAgN with its simulated powder diffraction line list. Radiation: Cu Kα. Structure: the GGA-PBE geometry in Alexandria.
Lines closer than 0.1° are merged.

The 10 most intense peaks (15 to 90 degrees two-theta), sorted by position:
two_theta  I (rel.)
23.2  15
26.1  100
31.7  26
32.1  96
33.9  66
47.1  17
47.4  32
48.8  24
56.1  28
59.6  42

Structure:
```
Ac4InAgN
1.0
3.7324 -8.3614 0.0000
3.7324 8.3614 0.0000
0.0000 0.0000 7.4756
Ac In Ag N
8 2 2 2
Cartesian
1.8662 4.1807 0.0000
1.8662 4.1807 3.7378
3.7324 7.2755 5.6067
3.7324 1.3774 5.6067
1.8662 -4.1807 0.0000
1.8662 -4.1807 3.7378
3.7324 -1.3774 1.8689
3.7324 -7.2755 1.8689
3.7324 1.9801 1.8689
3.7324 -1.9801 5.6067
3.7324 6.3309 1.8689
3.7324 -6.3309 5.6067
3.7324 3.8789 5.6067
3.7324 -3.8789 1.8689
```

# 10
This entry pairs a crystal structure of Ac2InNiAg with its simulated powder diffraction line list. Radiation: Cu Kα. Structure: the GGA-PBE geometry in Alexandria.
Lines closer than 0.1° are merged.

The 10 most intense peaks (15 to 90 degrees two-theta), sorted by position:
two_theta  I (rel.)
27.9  78
29.0  51
29.9  100
30.7  49
31.5  57
32.3  53
32.8  78
36.4  57
37.5  59
38.9  72

Structure:
```
Ac2InNiAg
1.0
7.8601 0.0000 0.0000
0.0000 4.6253 0.0000
-3.3744 0.0000 7.6234
Ac In Ni Ag
4 2 2 2
Cartesian
-0.4657 1.1563 1.6172
0.6510 3.4690 4.6321
3.8346 1.1563 2.9913
4.9514 3.4690 6.0062
-0.5034 1.1563 7.1526
4.9890 3.4690 0.4708
-1.3691 1.1563 4.4991
5.8548 3.4690 3.1243
2.0387 3.4690 1.3325
2.4469 1.1563 6.2909
```

# 11
This entry pairs a crystal structure of Ac2In4Ag3Pd with its simulated powder diffraction line list. Radiation: Cu Kα. Structure: the GGA-PBE geometry in Alexandria.
Lines closer than 0.1° are merged.

The 10 most intense peaks (15 to 90 degrees two-theta), sorted by position:
two_theta  I (rel.)
26.6  17
30.1  65
30.9  100
37.9  63
44.1  26
49.2  33
54.7  21
55.6  13
59.5  21
64.2  24

Structure:
```
Ac2In4Ag3Pd
1.0
4.7425 0.0000 0.0000
0.0000 4.7425 0.0000
0.0000 0.0000 11.3951
Ac In Ag Pd
2 4 3 1
Cartesian
0.0000 2.3713 2.6974
2.3713 0.0000 8.6977
0.0000 0.0000 5.6975
0.0000 2.3713 10.0236
2.3713 0.0000 1.3714
2.3713 2.3713 5.6975
0.0000 0.0000 0.0000
0.0000 2.3713 7.2908
2.3713 0.0000 4.1043
2.3713 2.3713 0.0000
```

# 12
This entry pairs a crystal structure of AcInAg2Pd with its simulated powder diffraction line list. Radiation: Cu Kα. Structure: the GGA-PBE geometry in Alexandria.
Lines closer than 0.1° are merged.

The 10 most intense peaks (15 to 90 degrees two-theta), sorted by position:
two_theta  I (rel.)
28.6  22
30.1  27
32.6  100
40.1  50
40.8  12
41.2  16
44.2  19
50.9  13
61.2  29
68.1  12

Structure:
```
AcInAg2Pd
1.0
-2.0490 2.2512 6.4820
2.0490 -2.2512 6.4820
2.0490 2.2512 -6.4820
Ac In Ag Pd
1 1 2 1
Cartesian
0.0000 0.0000 0.0000
2.0490 0.0000 3.3795
0.0000 0.0000 8.0397
0.0000 2.2512 3.5405
0.0000 0.0000 5.3049
```

# 13
This entry pairs a crystal structure of AcIn2AgPd4 with its simulated powder diffraction line list. Radiation: Cu Kα. Structure: the GGA-PBE geometry in Alexandria.
Lines closer than 0.1° are merged.

The 10 most intense peaks (15 to 90 degrees two-theta), sorted by position:
two_theta  I (rel.)
23.3  11
27.8  20
34.7  85
39.2  100
40.2  17
43.1  14
53.3  25
68.1  23
71.0  17
84.2  11

Structure:
```
AcIn2AgPd4
1.0
2.3002 1.3280 9.0457
-2.3002 1.3280 9.0457
0.0000 -2.6561 9.0457
Ac In Ag Pd
1 2 1 4
Cartesian
0.0000 0.0000 0.0000
0.0000 0.0000 6.3426
0.0000 0.0000 20.7946
0.0000 0.0000 13.5686
0.0000 0.0000 3.3996
0.0000 0.0000 10.8450
0.0000 0.0000 16.2923
0.0000 0.0000 23.7376
```

# 14
This entry pairs a crystal structure of AcPrInAg with its simulated powder diffraction line list. Radiation: Cu Kα. Structure: the GGA-PBE geometry in Alexandria.
Lines closer than 0.1° are merged.

The 10 most intense peaks (15 to 90 degrees two-theta), sorted by position:
two_theta  I (rel.)
31.9  100
32.7  48
44.4  9
46.9  18
56.3  18
57.8  36
66.6  11
73.9  7
77.6  8
78.0  8

Structure:
```
AcPrInAg
1.0
3.8737 0.0000 0.0000
0.0000 3.8737 0.0000
0.0000 0.0000 8.1532
Ac Pr In Ag
1 1 1 1
Cartesian
0.0000 0.0000 0.0000
0.0000 0.0000 4.2315
1.9368 1.9368 2.2520
1.9368 1.9368 6.0161
```